No. 1
Pm5Nd4Sm4: simulated PXRD pattern (copper Kα), based on a structure optimized by DFT (PBE).
Peak positions follow from Bragg's law for the DFT cell and can differ from measured ones.

The 6 most intense peaks (2θ = 10–80°), in order of falling intensity:
- 2θ 29.95, I 100
- 2θ 34.63, I 34
- 2θ 59.19, I 29
- 2θ 49.97, I 24
- 2θ 34.89, I 17
- 2θ 59.53, I 14

```
13
Lattice="-6.604 6.604 2.572 6.604 -6.604 2.572 6.604 6.604 -2.572" Properties=species:S:1:pos:R:3 pbc="T T T"
Pm 0.000 0.000 0.000
Pm 6.090 4.073 0.000
Pm 2.531 -0.515 2.572
Pm 4.073 7.119 0.000
Pm 0.515 2.531 2.572
Nd 8.139 1.021 0.000
Nd 1.021 5.070 0.000
Nd 5.583 1.535 2.572
Nd -1.535 5.583 2.572
Sm 3.047 2.032 0.000
Sm 4.573 -3.558 2.572
Sm 2.032 10.162 0.000
Sm 3.558 4.573 2.572
```

***

No. 2
Pm4Nd3Sm8: simulated PXRD pattern (copper Kα), based on a structure optimized by DFT (PBE).
Peak positions follow from Bragg's law for the DFT cell and can differ from measured ones.

The 6 most intense peaks (2θ = 10–80°), in order of falling intensity:
- 2θ 30.82, I 100
- 2θ 35.39, I 73
- 2θ 29.61, I 71
- 2θ 60.70, I 47
- 2θ 51.68, I 37
- 2θ 50.13, I 28

```
15
Lattice="3.537 2.042 12.063 -3.537 2.042 12.063 0.000 -4.085 12.063" Properties=species:S:1:pos:R:3 pbc="T T T"
Pm 0.000 0.000 0.000
Pm 0.000 0.000 5.937
Pm 0.000 0.000 18.094
Pm 0.000 0.000 30.251
Nd -1.769 -1.021 12.063
Nd -1.769 1.021 24.125
Nd 0.000 2.042 12.063
Sm 0.000 -2.035 15.082
Sm -1.762 1.017 15.082
Sm -1.762 -1.017 21.106
Sm 0.000 0.000 9.176
Sm 0.000 0.000 27.012
Sm 1.762 1.017 15.082
Sm 1.762 -1.017 21.106
Sm 0.000 2.035 21.106
```

***

No. 3
Pm2Nd2Sm7: simulated PXRD pattern (copper Kα), based on a structure optimized by DFT (PBE).
Peak positions follow from Bragg's law for the DFT cell and can differ from measured ones.

The 6 most intense peaks (2θ = 10–80°), in order of falling intensity:
- 2θ 30.47, I 100
- 2θ 31.13, I 55
- 2θ 31.01, I 45
- 2θ 33.44, I 35
- 2θ 31.76, I 22
- 2θ 29.01, I 19

```
11
Lattice="5.074 -4.716 0.000 5.074 4.716 0.000 -2.266 0.000 8.040" Properties=species:S:1:pos:R:3 pbc="T T T"
Pm 5.074 2.844 0.000
Pm 5.074 -2.844 0.000
Nd 2.692 0.000 5.458
Nd 5.190 0.000 2.582
Sm -1.133 0.000 4.020
Sm 2.354 1.926 2.615
Sm 0.698 0.000 7.870
Sm 5.528 1.926 5.426
Sm 2.354 -1.926 2.615
Sm 7.184 0.000 0.170
Sm 5.528 -1.926 5.426
```

***

No. 4
PmNd6Sm3: simulated PXRD pattern (copper Kα), based on a structure optimized by DFT (PBE).
Peak positions follow from Bragg's law for the DFT cell and can differ from measured ones.

The 6 most intense peaks (2θ = 10–80°), in order of falling intensity:
- 2θ 30.88, I 100
- 2θ 28.03, I 71
- 2θ 33.34, I 60
- 2θ 31.13, I 49
- 2θ 28.21, I 40
- 2θ 48.95, I 33

```
20
Lattice="5.534 -9.709 0.000 5.534 9.709 0.000 0.000 0.000 6.483" Properties=species:S:1:pos:R:3 pbc="T T T"
Pm 5.534 6.000 3.241
Pm 5.534 -6.000 0.000
Nd 5.534 9.038 4.857
Nd 2.933 4.038 1.519
Nd 5.534 4.267 6.221
Nd 3.658 0.780 0.344
Nd 3.658 -0.780 3.585
Nd 2.933 -4.038 4.760
Nd 8.135 4.038 1.519
Nd 7.410 0.780 0.344
Nd 7.410 -0.780 3.585
Nd 5.534 -4.267 2.980
Nd 8.135 -4.038 4.760
Nd 5.534 -9.038 1.616
Sm 1.939 2.281 4.197
Sm 1.939 -2.281 0.956
Sm 5.534 2.269 3.370
Sm 5.534 -2.269 0.129
Sm 9.129 2.281 4.197
Sm 9.129 -2.281 0.956
```

***

No. 5
Pm5Nd4Sm3: simulated PXRD pattern (copper Kα), based on a structure optimized by DFT (PBE).
Peak positions follow from Bragg's law for the DFT cell and can differ from measured ones.

The 6 most intense peaks (2θ = 10–80°), in order of falling intensity:
- 2θ 29.94, I 100
- 2θ 34.70, I 51
- 2θ 49.89, I 36
- 2θ 59.25, I 25
- 2θ 59.32, I 18
- 2θ 62.20, I 12

```
12
Lattice="6.334 0.000 0.000 -0.006 7.304 0.000 -0.014 -0.002 8.961" Properties=species:S:1:pos:R:3 pbc="T T T"
Pm 0.000 0.000 0.000
Pm 2.102 3.651 2.984
Pm 3.147 1.830 8.959
Pm 3.167 5.472 0.002
Pm 4.211 3.652 5.977
Nd 1.041 5.470 5.979
Nd 2.099 7.301 2.984
Nd 4.214 0.002 5.977
Nd 5.273 1.832 2.982
Sm -0.003 3.652 0.000
Sm 1.046 1.830 5.979
Sm 5.268 5.473 2.982
```

***

No. 6
Pm5Nd3Sm4: simulated PXRD pattern (copper Kα), based on a structure optimized by DFT (PBE).
Peak positions follow from Bragg's law for the DFT cell and can differ from measured ones.

The 6 most intense peaks (2θ = 10–80°), in order of falling intensity:
- 2θ 29.97, I 100
- 2θ 34.75, I 51
- 2θ 49.96, I 36
- 2θ 59.33, I 25
- 2θ 59.41, I 18
- 2θ 62.29, I 12

```
12
Lattice="6.326 0.000 0.000 -0.007 7.296 0.000 -0.015 -0.002 8.949" Properties=species:S:1:pos:R:3 pbc="T T T"
Pm 0.000 0.000 0.000
Pm 2.101 3.646 2.986
Pm 3.164 1.819 0.001
Pm 3.140 5.475 8.948
Pm 4.203 3.648 5.963
Nd -0.003 3.648 0.000
Nd 1.043 1.817 5.961
Nd 5.262 5.477 2.988
Sm 1.043 5.475 5.963
Sm 2.104 0.000 2.985
Sm 4.201 7.294 5.964
Sm 5.261 1.819 2.986
```

***

No. 7
Pm5NdSm: simulated PXRD pattern (copper Kα), based on a structure optimized by DFT (PBE).
Peak positions follow from Bragg's law for the DFT cell and can differ from measured ones.

The 6 most intense peaks (2θ = 10–80°), in order of falling intensity:
- 2θ 29.97, I 100
- 2θ 30.86, I 99
- 2θ 29.50, I 78
- 2θ 30.47, I 73
- 2θ 55.19, I 45
- 2θ 32.67, I 41

```
14
Lattice="6.023 -3.475 0.000 6.023 3.475 0.000 -4.493 0.000 11.591" Properties=species:S:1:pos:R:3 pbc="T T T"
Pm 2.653 2.862 8.693
Pm -0.733 0.894 8.679
Pm 5.089 1.865 0.000
Pm 4.711 1.865 5.795
Pm 1.514 -0.894 2.883
Pm 6.039 0.894 8.708
Pm 2.842 -1.865 5.796
Pm 2.464 -1.865 11.591
Pm 8.286 -0.894 2.912
Pm 4.900 -2.862 2.898
Nd 4.900 0.192 2.898
Nd 2.653 -0.192 8.693
Sm 0.765 1.737 5.796
Sm 3.011 -1.737 0.000
```

***

No. 8
Pm3Nd2Sm3: simulated PXRD pattern (copper Kα), based on a structure optimized by DFT (PBE).
Peak positions follow from Bragg's law for the DFT cell and can differ from measured ones.

The 6 most intense peaks (2θ = 10–80°), in order of falling intensity:
- 2θ 31.88, I 100
- 2θ 30.30, I 25
- 2θ 27.95, I 23
- 2θ 59.11, I 23
- 2θ 54.83, I 22
- 2θ 49.46, I 20

```
16
Lattice="5.900 0.000 0.000 0.000 14.752 0.000 0.000 0.000 6.380" Properties=species:S:1:pos:R:3 pbc="T T T"
Pm 1.475 1.845 1.056
Pm 1.475 5.531 1.056
Pm 1.475 11.064 4.260
Pm 4.425 3.688 2.120
Pm 4.425 9.221 5.324
Pm 4.425 12.907 5.324
Nd 1.475 9.217 1.068
Nd 1.475 12.911 1.068
Nd 4.425 1.841 5.312
Nd 4.425 5.535 5.312
Sm 1.475 14.752 4.250
Sm 1.475 3.688 4.238
Sm 1.475 7.376 4.250
Sm 4.425 0.000 2.130
Sm 4.425 7.376 2.130
Sm 4.425 11.064 2.142
```

***

No. 9
PmNdSm2: simulated PXRD pattern (copper Kα), based on a structure optimized by DFT (PBE).
Peak positions follow from Bragg's law for the DFT cell and can differ from measured ones.

The 6 most intense peaks (2θ = 10–80°), in order of falling intensity:
- 2θ 32.04, I 100
- 2θ 29.15, I 44
- 2θ 30.33, I 35
- 2θ 59.41, I 31
- 2θ 49.78, I 26
- 2θ 36.39, I 25

```
4
Lattice="3.664 0.000 0.000 -1.832 3.173 0.000 0.000 0.000 11.789" Properties=species:S:1:pos:R:3 pbc="T T T"
Pm 0.000 0.000 0.000
Nd 0.000 0.000 5.895
Sm 0.000 2.115 8.850
Sm 1.832 1.058 2.939
```

***

No. 10
Pm3Nd3Sm2: simulated PXRD pattern (copper Kα), based on a structure optimized by DFT (PBE).
Peak positions follow from Bragg's law for the DFT cell and can differ from measured ones.

The 6 most intense peaks (2θ = 10–80°), in order of falling intensity:
- 2θ 31.82, I 100
- 2θ 30.21, I 25
- 2θ 27.92, I 23
- 2θ 59.00, I 23
- 2θ 54.69, I 22
- 2θ 49.39, I 20

```
16
Lattice="5.916 0.000 0.000 0.000 14.765 0.000 0.000 0.000 6.390" Properties=species:S:1:pos:R:3 pbc="T T T"
Pm 1.479 1.848 1.063
Pm 1.479 5.534 1.063
Pm 1.479 11.074 4.250
Pm 4.437 3.691 2.141
Pm 4.437 9.231 5.328
Pm 4.437 12.917 5.328
Nd 1.479 14.764 4.257
Nd 1.479 3.691 4.260
Nd 1.479 7.384 4.257
Nd 4.437 0.001 2.133
Nd 4.437 7.382 2.133
Nd 4.437 11.074 2.130
Sm 1.479 9.232 1.055
Sm 1.479 12.916 1.055
Sm 4.437 1.849 5.335
Sm 4.437 5.533 5.335
```

***

No. 11
Pm6Nd2Sm5: simulated PXRD pattern (copper Kα), based on a structure optimized by DFT (PBE).
Peak positions follow from Bragg's law for the DFT cell and can differ from measured ones.

The 6 most intense peaks (2θ = 10–80°), in order of falling intensity:
- 2θ 31.47, I 100
- 2θ 31.04, I 67
- 2θ 30.35, I 64
- 2θ 30.82, I 51
- 2θ 33.53, I 40
- 2θ 35.81, I 30

```
26
Lattice="11.900 0.000 0.000 0.000 20.784 0.000 0.000 0.000 3.659" Properties=species:S:1:pos:R:3 pbc="T T T"
Pm 0.723 1.611 0.000
Pm 0.934 7.604 0.000
Pm 2.127 13.102 1.830
Pm 3.823 2.710 1.830
Pm 5.017 17.996 0.000
Pm 5.228 12.003 0.000
Pm 6.673 8.781 0.000
Pm 6.884 2.788 0.000
Pm 8.077 18.074 1.830
Pm 9.773 7.682 1.830
Pm 10.967 13.180 0.000
Pm 11.178 19.173 0.000
Nd 2.043 16.309 0.000
Nd 3.907 5.917 0.000
Nd 7.993 14.867 0.000
Nd 9.857 4.475 0.000
Sm 0.000 10.392 1.830
Sm 1.039 4.628 1.830
Sm 2.369 19.652 1.830
Sm 3.581 9.260 1.830
Sm 4.911 15.020 1.830
Sm 5.950 0.000 1.830
Sm 6.989 5.764 1.830
Sm 8.320 11.524 1.830
Sm 9.531 1.132 1.830
Sm 10.861 16.156 1.830
```

***

No. 12
TbPm5NdSm2: simulated PXRD pattern (copper Kα), based on a structure optimized by DFT (PBE).
Peak positions follow from Bragg's law for the DFT cell and can differ from measured ones.

The 6 most intense peaks (2θ = 10–80°), in order of falling intensity:
- 2θ 30.35, I 100
- 2θ 28.19, I 52
- 2θ 28.46, I 51
- 2θ 42.37, I 22
- 2θ 51.59, I 21
- 2θ 36.98, I 18

```
18
Lattice="-4.436 4.436 7.877 4.436 -4.436 7.877 4.436 4.436 -7.877" Properties=species:S:1:pos:R:3 pbc="T T T"
Tb 4.436 0.000 3.939
Tb 0.000 4.436 3.939
Pm 0.000 0.000 0.000
Pm 6.278 1.842 -2.171
Pm 1.842 2.593 -2.171
Pm 6.278 1.842 2.171
Pm 1.842 2.593 2.171
Pm 0.000 0.000 7.877
Pm 2.593 1.842 5.706
Pm -1.842 2.593 5.706
Pm 2.593 1.842 10.048
Pm -1.842 2.593 10.048
Nd 0.000 0.000 3.939
Nd 0.000 0.000 11.816
Sm 3.399 1.037 0.000
Sm 3.399 -1.037 7.877
Sm 1.037 5.472 0.000
Sm 1.037 3.399 7.877
```